FeNi2BO5: calculated X-ray powder pattern (CuKα), based on a cell relaxed with PBE+U.
Kinematic intensities with the Lorentz-polarization factor, no thermal factor.

Largest 8 diffraction maxima, in order of rising 2θ, 2θ from 10° to 90°:
5.150 Å, intensity 51.3
4.660 Å, intensity 27.5
2.575 Å, intensity 100.0
2.543 Å, intensity 79.9
2.363 Å, intensity 36.1
2.048 Å, intensity 29.6
1.920 Å, intensity 41.3
1.506 Å, intensity 35.3

Atomic structure:
```
data_FeNi2BO5
_symmetry_space_group_name_H-M 'P b a m'
_symmetry_Int_Tables_number 55
_symmetry_space_group_name_Hall '-P 2 2ab'
_cell_length_a 9.3195
_cell_length_b 12.3579
_cell_length_c 3.0340
_cell_angle_alpha 90.00
_cell_angle_beta 90.00
_cell_angle_gamma 90.00
loop_
_atom_site_label
_atom_site_fract_x
_atom_site_fract_y
_atom_site_fract_z
_atom_site_occupancy
Fe1 0.2394 0.1150 0.0000 1
Ni1 0.0000 0.0000 0.5000 1
Ni2 0.0001 0.2821 0.5000 1
Ni3 0.0000 0.5000 0.0000 1
B1 0.2271 0.8606 0.0000 1
O1 0.1069 0.1435 0.5000 1
O2 0.1168 0.5777 0.5000 1
O3 0.1245 0.3593 0.0000 1
O4 0.1511 0.9579 0.0000 1
O5 0.1521 0.7632 0.0000 1
```